# 1
Computed X-ray powder pattern
Compound: Nb2AlFe
Radiation: Cu Ka
Structure: a cell relaxed with GGA-PBE
Kinematic intensities with the Lorentz-polarization factor, no thermal factor.

The 10 most intense peaks (2θ = 10–90°), by intensity:
38.5°, 2.336 Å, intensity 100, (1 1 2); 35.5°, 2.530 Å, intensity 91, (2 2 0); 53.4°, 1.716 Å, intensity 55, (3 1 2); 20.9°, 4.241 Å, intensity 33, (1 0 1); 49.1°, 1.857 Å, intensity 31, (3 2 1); 24.9°, 3.578 Å, intensity 30, (2 0 0); 32.7°, 2.735 Å, intensity 24, (2 1 1); 51.1°, 1.789 Å, intensity 24, (4 0 0); 77.2°, 1.236 Å, intensity 20, (2 0 4); 55.8°, 1.648 Å, intensity 18, (4 1 1)

Cell and atoms:
Cell: 7.156 7.156 5.266 Å, 90.00 90.00 90.00°
Space group I-42d (No. 122)
Unique sites:
Nb  0.201  0.250  0.125 x8
Al  0.000  0.000  0.500 x4
Fe  0.000  0.000  0.000 x4

# 2
Computed X-ray powder pattern
Compound: Mg5NpN5
Radiation: Cu Ka
Structure: a cell relaxed with GGA-PBE
Kinematic intensities with the Lorentz-polarization factor, no thermal factor.

The 10 most intense peaks (2θ = 10–90°), by intensity:
14.9°, 5.956 Å, intensity 100, (0 0 1); 21.9°, 4.053 Å, intensity 88, (1 1 0); 40.4°, 2.233 Å, intensity 62, (0 2 0); 19.6°, 4.522 Å, intensity 51, (2 0 -1); 39.9°, 2.260 Å, intensity 46, (4 0 -2); 34.4°, 2.607 Å, intensity 45, (3 1 0); 34.9°, 2.571 Å, intensity 44, (1 1 -2); 24.8°, 3.584 Å, intensity 42, (1 1 -1); 18.4°, 4.815 Å, intensity 39, (2 0 0); 28.3°, 3.158 Å, intensity 32, (1 1 1)

Cell and atoms:
Cell: 10.169 4.468 6.289 Å, 90.00 108.75 90.00°
Space group C2/m (No. 12)
Unique sites:
Mg  0.000  0.000  0.000 x2
Mg  0.175  0.500  0.346 x4
Mg  0.188  0.500  0.835 x4
Np  0.000  0.000  0.500 x2
N  0.000  0.500  0.500 x2
N  0.153  0.000  0.332 x4
N  0.165  0.000  0.825 x4

# 3
Computed X-ray powder pattern
Compound: Li3NbF7
Radiation: Cu Ka
Structure: a cell relaxed with GGA-PBE
Kinematic intensities with the Lorentz-polarization factor, no thermal factor.

The 10 most intense peaks (2θ = 10–90°), by intensity:
19.4°, 4.586 Å, intensity 100, (1 1 0); 20.2°, 4.387 Å, intensity 82, (1 1 -1); 18.0°, 4.920 Å, intensity 49, (0 0 1); 50.4°, 1.810 Å, intensity 32, (2 2 1); 29.3°, 3.053 Å, intensity 31, (0 2 1); 44.3°, 2.043 Å, intensity 30, (2 0 1); 33.8°, 2.655 Å, intensity 26, (2 0 -2); 22.8°, 3.893 Å, intensity 26, (0 2 0); 31.7°, 2.820 Å, intensity 26, (1 1 1); 27.0°, 3.302 Å, intensity 25, (2 0 -1)

Cell and atoms:
Cell: 6.622 7.785 5.740 Å, 90.00 121.00 90.00°
Space group Cm (No. 8)
Unique sites:
Li  0.000  0.000  0.000 x2
Li  0.431  0.237  0.340 x4
Nb  0.490  0.000  0.886 x2
F  0.060  0.255  0.064 x4
F  0.177  0.500  0.692 x2
F  0.277  0.163  0.577 x4
F  0.333  0.000  0.119 x2
F  0.336  0.500  0.213 x2

# 4
Computed X-ray powder pattern
Compound: Yb7Al5Ge8
Radiation: Cu Ka
Structure: a cell relaxed with GGA-PBE
Kinematic intensities with the Lorentz-polarization factor, no thermal factor.

The 10 most intense peaks (2θ = 10–90°), by intensity:
35.3°, 2.540 Å, intensity 100, (3 1 3); 33.2°, 2.697 Å, intensity 48, (3 1 -3); 35.1°, 2.555 Å, intensity 44, (5 1 0); 41.8°, 2.160 Å, intensity 35, (0 2 0); 21.3°, 4.167 Å, intensity 24, (1 1 0); 29.5°, 3.027 Å, intensity 23, (2 0 -4); 25.0°, 3.561 Å, intensity 22, (2 0 3); 34.0°, 2.640 Å, intensity 20, (6 0 0); 38.3°, 2.352 Å, intensity 16, (6 0 2); 52.1°, 1.756 Å, intensity 16, (8 0 -4)

Cell and atoms:
Cell: 15.920 4.319 12.631 Å, 90.00 95.68 90.00°
Space group C2/m (No. 12)
Unique sites:
Yb  0.000  0.000  0.000 x2
Yb  0.018  0.000  0.298 x4
Yb  0.159  0.000  0.542 x4
Yb  0.189  0.000  0.861 x4
Al  0.000  0.500  0.500 x2
Al  0.110  0.500  0.168 x4
Al  0.224  0.000  0.306 x4
Ge  0.054  0.500  0.864 x4
Ge  0.112  0.500  0.683 x4
Ge  0.151  0.500  0.380 x4
Ge  0.177  0.000  0.105 x4

# 5
Computed X-ray powder pattern
Compound: Ta2Ti4Nb
Radiation: Cu Ka
Structure: a cell relaxed with GGA-PBE
Kinematic intensities with the Lorentz-polarization factor, no thermal factor.

The 10 most intense peaks (2θ = 10–90°), by intensity:
38.9°, 2.315 Å, intensity 100, (0 1 2); 14.5°, 6.109 Å, intensity 95, (0 1 0); 39.2°, 2.299 Å, intensity 94, (0 3 -1); 38.5°, 2.336 Å, intensity 47, (1 1 0); 38.3°, 2.349 Å, intensity 46, (1 -2 1); 70.3°, 1.339 Å, intensity 22, (0 1 -5); 25.3°, 3.516 Å, intensity 16, (0 2 -1); 56.7°, 1.622 Å, intensity 16, (1 3 -3); 55.1°, 1.667 Å, intensity 16, (1 -1 3); 70.7°, 1.332 Å, intensity 15, (1 4 -1)

Cell and atoms:
Cell: 2.863 7.108 7.118 Å, 118.45 95.96 98.39°
Space group P-1 (No. 2)
Unique sites:
Ta  0.134  0.354  0.072 x2
Ti  0.220  0.225  0.645 x2
Ti  0.483  0.071  0.223 x2
Nb  0.000  0.500  0.500 x1